Record 1
Diffraction record for HfZr3Co4. The X-ray powder pattern is theoretical, not measured: it uses a structure optimized by DFT (PBE) and Cu Kα.
Lines closer than 0.1° are merged.

Largest 6 diffraction maxima, most intense first, 2θ = 10–90°:
two_theta	I (rel.)
40.22	1000
39.89	255
40.10	253
57.85	165
72.94	161
72.66	161

Cell and atoms:
```
8
Lattice="3.1547 0.0000 0.0000 0.0000 4.4970 0.0000 0.0000 0.0000 9.0391" Properties=species:S:1:pos:R:3 pbc="T T T"
Hf 0.0000 0.0000 0.0000
Zr 0.0000 0.0000 4.5196
Zr 0.0000 2.2485 2.2466
Zr 0.0000 2.2485 6.7925
Co 1.5773 0.0000 2.1893
Co 1.5773 0.0000 6.8498
Co 1.5773 2.2485 0.0000
Co 1.5773 2.2485 4.5196
```

Record 2
Diffraction record for Y5Ni2Se2. The X-ray powder pattern is theoretical, not measured: it uses a structure optimized by DFT (PBE) and Cu Kα.
Lines closer than 0.1° are merged.

Largest 6 diffraction maxima, most intense first, 2θ = 10–90°:
two_theta	I (rel.)
38.51	1000
33.90	867
36.04	823
32.22	668
34.47	385
69.10	310

Cell and atoms:
```
18
Lattice="7.4701 -3.7405 0.0000 7.4701 3.7405 0.0000 0.0000 0.0000 7.4875" Properties=species:S:1:pos:R:3 pbc="T T T"
Y 0.0000 0.0000 0.0000
Y 5.5601 2.5345 4.9291
Y 5.5601 1.2060 1.1853
Y 9.3800 2.5345 4.9291
Y 9.3800 1.2060 1.1853
Y 7.4701 0.0000 3.7438
Y 5.5601 -1.2060 6.3022
Y 5.5601 -2.5345 2.5584
Y 9.3800 -1.2060 6.3022
Y 9.3800 -2.5345 2.5584
Ni 7.4701 2.7547 2.7789
Ni 7.4701 0.9858 6.5227
Ni 7.4701 -0.9858 0.9648
Ni 7.4701 -2.7547 4.7086
Se 3.0496 0.0000 0.0000
Se 4.4205 0.0000 3.7438
Se 10.5196 0.0000 3.7438
Se 11.8906 0.0000 0.0000
```